Starting from a GGA-PBE-relaxed structure, the X-ray diffraction stick pattern of RbNaSO4 was simulated for CuKα.

Principal peaks in the range 15° ≤ 2θ ≤ 90°, in order of rising 2θ:
d 3.804, rel. 100, (1 1 0); d 3.351, rel. 57, (1 1 1); d 3.290, rel. 53, (1 0 -2); d 3.221, rel. 61, (0 1 2); d 2.771, rel. 43, (0 2 0); d 2.639, rel. 15, (0 0 3); d 2.615, rel. 50, (2 0 0); d 2.383, rel. 24, (0 1 3); d 2.365, rel. 16, (1 2 -1); d 2.314, rel. 25, (2 1 -1); d 2.120, rel. 43, (1 2 -2); d 1.415, rel. 16, (3 2 -2)

Crystal structure
abc: 5.249 5.542 7.944
angles: 90.00 94.75 90.00
Positions (direct):
Rb (0.237, 0.250, 0.138)
Rb (0.763, 0.750, 0.862)
Na (0.208, 0.750, 0.540)
Na (0.792, 0.250, 0.460)
S (0.338, 0.250, 0.702)
S (0.662, 0.750, 0.298)
O (0.241, 0.028, 0.783)
O (0.241, 0.472, 0.783)
O (0.246, 0.250, 0.517)
O (0.377, 0.750, 0.279)
O (0.623, 0.250, 0.721)
O (0.754, 0.750, 0.483)
O (0.759, 0.528, 0.217)
O (0.759, 0.972, 0.217)